DyMoBrO4: calculated powder X-ray diffraction pattern (λ = 1.5418 Å (Cu Kα)), based on a crystal structure in the Materials Project, relaxed with GGA+U.
No peak broadening, texture or thermal motion is included.

Structure:
abc: 6.932 7.287 11.061
angles: 105.48 107.32 92.97
Space group P-1 (No. 2)
Inequivalent atoms, fractional coordinates:
Dy: 0.109 0.347 0.231 x2
Dy: 0.145 0.121 0.731 x2
Mo: 0.233 0.813 0.134 x2
Mo: 0.274 0.592 0.629 x2
Br: 0.240 0.011 0.483 x2
Br: 0.306 0.283 0.019 x2
O: 0.105 0.020 0.182 x2
O: 0.123 0.647 0.201 x2
O: 0.156 0.796 0.703 x2
O: 0.168 0.726 0.958 x2
O: 0.173 0.506 0.452 x2
O: 0.210 0.415 0.702 x2
O: 0.458 0.355 0.326 x2
O: 0.498 0.134 0.793 x2

Most intense lines, 10 to 90 degrees two-theta, by angle:
(1 0 0), 13.5 deg, intensity 41
(0 0 2), 17.6 deg, intensity 22
(0 2 -1), 24.5 deg, intensity 100
(1 0 2), 25.5 deg, intensity 48
(2 0 0), 27.2 deg, intensity 21
(-2 1 1), 28.2 deg, intensity 18
(2 1 -2), 29.6 deg, intensity 24
(-2 1 2), 30.8 deg, intensity 16
(-1 1 3), 31.3 deg, intensity 27
(1 1 -4), 32.9 deg, intensity 28